Record 1
U2TcAs4: theoretical powder XRD pattern (λ = 1.5418 Å (Cu Kα)), based on the PBE geometry in Alexandria.
Neutral-atom scattering factors, no anomalous dispersion.

Principal peaks in the range 10° ≤ 2θ ≤ 90°, by angle:
Position (°2θ), intensity
24.00, 59.3
30.92, 17.2
37.21, 100.0
37.77, 40.5
44.29, 39.0
50.99, 16.7
57.02, 19.0
59.58, 22.2
74.92, 17.5
76.82, 25.2

Structure:
a = 4.0905 Å, b = 4.0905 Å, c = 8.7900 Å
α = 90.00°, β = 90.00°, γ = 90.00°
Space group P-4m2 (No. 115)
Unique sites:
U (0.0000, 0.5000, 0.2469) x2
Tc (0.5000, 0.5000, 0.0000) x1
As (0.0000, 0.0000, 0.5000) x1
As (0.0000, 0.5000, 0.8449) x2
As (0.5000, 0.5000, 0.5000) x1

=====

Record 2
ZrTc2As: theoretical powder XRD pattern (λ = 1.5418 Å (Cu Kα)), based on the PBE geometry in Alexandria.
Neutral-atom scattering factors, no anomalous dispersion.

Principal peaks in the range 10° ≤ 2θ ≤ 90°, by angle:
Position (°2θ), intensity
36.50, 100.0
41.02, 70.2
43.96, 29.3
45.70, 51.2
60.29, 11.2
65.27, 34.3
75.51, 22.2
75.91, 11.2
77.56, 10.6
84.14, 15.9

Structure:
a = 3.0704 Å, b = 4.1193 Å, c = 5.2056 Å
α = 90.00°, β = 90.00°, γ = 90.00°
Space group Pmm2 (No. 25)
Unique sites:
Zr (0.0000, 0.0000, 0.0000) x1
Tc (0.0000, 0.0000, 0.5060) x1
Tc (0.5000, 0.5000, 0.7280) x1
As (0.5000, 0.5000, 0.2555) x1

=====

Record 3
Te4As: theoretical powder XRD pattern (λ = 1.5418 Å (Cu Kα)), based on the PBE geometry in Alexandria.
Neutral-atom scattering factors, no anomalous dispersion.

Principal peaks in the range 10° ≤ 2θ ≤ 90°, by angle:
Position (°2θ), intensity
13.08, 47.9
18.53, 36.9
29.50, 62.6
31.64, 100.0
36.92, 66.5
41.62, 46.0
42.21, 26.2
48.48, 24.8
64.13, 26.1
67.39, 20.9

Structure:
a = 9.5740 Å, b = 9.5740 Å, c = 3.7658 Å
α = 90.00°, β = 90.00°, γ = 90.00°
Space group I4/m (No. 87)
Unique sites:
Te (0.1347, 0.2197, 0.0000) x8
As (0.0000, 0.0000, 0.5000) x2

=====

Record 4
Te3As5: theoretical powder XRD pattern (λ = 1.5418 Å (Cu Kα)), based on the PBE geometry in Alexandria.
Neutral-atom scattering factors, no anomalous dispersion.

Principal peaks in the range 10° ≤ 2θ ≤ 90°, by angle:
Position (°2θ), intensity
13.85, 23.8
16.80, 32.9
19.97, 100.0
28.18, 66.2
28.32, 31.5
30.50, 32.8
32.11, 53.2
34.00, 38.1
34.93, 24.2
37.13, 36.7

Structure:
a = 9.0357 Å, b = 12.7849 Å, c = 9.7775 Å
α = 90.00°, β = 107.12°, γ = 90.00°
Space group Cm (No. 8)
Unique sites:
Te (0.0000, 0.0000, 0.0000) x2
Te (0.0300, 0.5000, 0.4276) x2
Te (0.2156, 0.1078, 0.6075) x4
Te (0.3300, 0.1679, 0.0671) x4
As (0.0973, 0.0918, 0.3248) x4
As (0.1077, 0.4031, 0.2093) x4
As (0.1899, 0.5000, 0.9267) x2
As (0.1914, 0.3555, 0.7490) x4
As (0.3076, 0.5000, 0.6281) x2
As (0.4478, 0.2865, 0.9001) x4

=====

Record 5
Te3As: theoretical powder XRD pattern (λ = 1.5418 Å (Cu Kα)), based on the PBE geometry in Alexandria.
Neutral-atom scattering factors, no anomalous dispersion.

Principal peaks in the range 10° ≤ 2θ ≤ 90°, by angle:
Position (°2θ), intensity
26.08, 35.2
28.16, 5.6
33.71, 100.0
42.71, 9.9
46.01, 28.9
50.73, 9.0
58.23, 20.4
64.57, 17.2
72.45, 7.2
77.23, 17.7

Structure:
a = 3.9456 Å, b = 3.9456 Å, c = 8.4687 Å
α = 90.00°, β = 90.00°, γ = 120.00°
Space group P-6m2 (No. 187)
Unique sites:
Te (0.0000, 0.0000, 0.0000) x1
Te (0.6667, 0.3333, 0.2729) x2
As (0.0000, 0.0000, 0.5000) x1

=====

Record 6
Te3As: theoretical powder XRD pattern (λ = 1.5418 Å (Cu Kα)), based on the PBE geometry in Alexandria.
Neutral-atom scattering factors, no anomalous dispersion.

Principal peaks in the range 10° ≤ 2θ ≤ 90°, by angle:
Position (°2θ), intensity
23.80, 100.0
32.56, 83.8
33.15, 85.1
40.87, 20.5
42.33, 21.7
46.45, 16.5
47.28, 26.7
52.85, 22.3
54.40, 38.4
64.64, 12.2

Structure:
a = 3.9099 Å, b = 4.2707 Å, c = 7.7390 Å
α = 90.00°, β = 90.00°, γ = 90.00°
Space group Pmm2 (No. 25)
Unique sites:
Te (0.0000, 0.0000, 0.0000) x1
Te (0.0000, 0.5000, 0.4463) x1
Te (0.5000, 0.5000, 0.7154) x1
As (0.5000, 0.0000, 0.2362) x1

=====

Record 7
TeAs5: theoretical powder XRD pattern (λ = 1.5418 Å (Cu Kα)), based on the PBE geometry in Alexandria.
Neutral-atom scattering factors, no anomalous dispersion.

Principal peaks in the range 10° ≤ 2θ ≤ 90°, by angle:
Position (°2θ), intensity
31.73, 100.0
31.93, 50.2
45.20, 17.8
45.48, 35.9
45.78, 52.4
56.13, 9.3
56.89, 18.3
66.29, 11.2
75.74, 15.4
84.71, 14.1

Structure:
a = 11.9430 Å, b = 3.9647 Å, c = 6.8634 Å
α = 90.00°, β = 124.60°, γ = 90.00°
Space group Cm (No. 8)
Unique sites:
Te (0.0000, 0.0000, 0.0000) x2
As (0.1704, 0.0000, 0.8261) x2
As (0.1749, 0.5000, 0.3537) x2
As (0.3254, 0.0000, 0.6460) x2
As (0.3286, 0.5000, 0.1748) x2
As (0.4993, 0.0000, 0.5004) x2

=====

Record 8
Th5Te4As: theoretical powder XRD pattern (λ = 1.5418 Å (Cu Kα)), based on the PBE geometry in Alexandria.
Neutral-atom scattering factors, no anomalous dispersion.

Principal peaks in the range 10° ≤ 2θ ≤ 90°, by angle:
Position (°2θ), intensity
24.52, 13.3
24.74, 13.1
28.27, 43.6
28.63, 100.0
40.67, 85.4
41.21, 19.0
50.26, 18.2
50.73, 17.7
59.28, 13.2
66.95, 15.3

Structure:
a = 4.3809 Å, b = 4.4378 Å, c = 31.5647 Å
α = 90.00°, β = 90.00°, γ = 90.00°
Space group Immm (No. 71)
Unique sites:
Th (0.0000, 0.0000, 0.0000) x2
Th (0.0000, 0.0000, 0.2071) x4
Th (0.0000, 0.0000, 0.4093) x4
Te (0.0000, 0.0000, 0.1029) x4
Te (0.0000, 0.0000, 0.3071) x4
As (0.0000, 0.0000, 0.5000) x2

=====

Record 9
TiTeAs: theoretical powder XRD pattern (λ = 1.5418 Å (Cu Kα)), based on the PBE geometry in Alexandria.
Neutral-atom scattering factors, no anomalous dispersion.

Principal peaks in the range 10° ≤ 2θ ≤ 90°, by angle:
Position (°2θ), intensity
27.30, 39.6
29.00, 26.0
32.11, 100.0
39.00, 22.6
40.23, 25.5
43.81, 33.3
49.31, 19.0
51.38, 17.2
56.32, 18.9
80.52, 17.1

Structure:
a = 9.2382 Å, b = 9.2382 Å, c = 3.4954 Å
α = 90.00°, β = 90.00°, γ = 90.00°
Space group P4_2/m (No. 84)
Unique sites:
Ti (0.2126, 0.2583, 0.0000) x4
Te (0.2152, 0.4821, 0.5000) x4
As (0.0587, 0.7854, 0.0000) x4

=====

Record 10
Tl7Te6As: theoretical powder XRD pattern (λ = 1.5418 Å (Cu Kα)), based on the PBE geometry in Alexandria.
Neutral-atom scattering factors, no anomalous dispersion.

Principal peaks in the range 10° ≤ 2θ ≤ 90°, by angle:
Position (°2θ), intensity
22.56, 100.0
23.03, 25.1
25.86, 46.3
26.52, 26.1
28.25, 29.1
31.53, 28.6
33.37, 59.2
36.67, 33.0
39.39, 41.2
46.02, 35.8

Structure:
a = 8.1644 Å, b = 15.5388 Å, c = 18.2904 Å
α = 90.00°, β = 90.00°, γ = 90.00°
Space group Ibam (No. 72)
Unique sites:
Tl (0.0000, 0.0000, 0.2500) x4
Tl (0.0998, 0.2712, 0.1168) x16
Tl (0.2298, 0.0485, 0.0000) x8
Te (0.1273, 0.1573, 0.5000) x8
Te (0.1987, 0.3879, 0.3206) x16
As (0.0000, 0.5000, 0.2500) x4

=====

Record 11
Tl2Te3As: theoretical powder XRD pattern (λ = 1.5418 Å (Cu Kα)), based on the PBE geometry in Alexandria.
Neutral-atom scattering factors, no anomalous dispersion.

Principal peaks in the range 10° ≤ 2θ ≤ 90°, by angle:
Position (°2θ), intensity
27.17, 55.8
27.65, 20.3
28.21, 100.0
35.76, 15.5
39.57, 74.6
39.81, 14.9
40.84, 20.5
48.87, 16.8
49.74, 21.4
63.90, 14.8

Structure:
a = 14.2994 Å, b = 6.5653 Å, c = 8.8386 Å
α = 90.00°, β = 108.16°, γ = 90.00°
Space group C2/c (No. 15)
Unique sites:
Tl (0.1789, 0.0020, 0.0898) x8
Te (0.0000, 0.0226, 0.2500) x4
Te (0.1410, 0.4982, 0.0710) x8
As (0.0000, 0.4299, 0.2500) x4

=====

Record 12
TlTe4As2: theoretical powder XRD pattern (λ = 1.5418 Å (Cu Kα)), based on the PBE geometry in Alexandria.
Neutral-atom scattering factors, no anomalous dispersion.

Principal peaks in the range 10° ≤ 2θ ≤ 90°, by angle:
Position (°2θ), intensity
26.62, 69.0
29.05, 34.0
29.34, 36.0
29.93, 100.0
37.58, 31.3
40.41, 22.3
43.21, 27.3
45.16, 24.7
51.58, 23.5
53.22, 29.2

Structure:
a = 4.0152 Å, b = 14.0050 Å, c = 15.2546 Å
α = 90.00°, β = 90.00°, γ = 90.00°
Space group Cmcm (No. 63)
Unique sites:
Tl (0.0000, 0.0828, 0.2500) x4
Te (0.0000, 0.0000, 0.0000) x4
Te (0.0000, 0.2758, 0.6100) x8
Te (0.0000, 0.4084, 0.2500) x4
As (0.0000, 0.3573, 0.0586) x8

=====

Record 13
Tl8Te6As: theoretical powder XRD pattern (λ = 1.5418 Å (Cu Kα)), based on the PBE geometry in Alexandria.
Neutral-atom scattering factors, no anomalous dispersion.

Principal peaks in the range 10° ≤ 2θ ≤ 90°, by angle:
Position (°2θ), intensity
23.53, 31.7
26.07, 75.3
27.15, 29.7
30.13, 100.0
30.72, 41.7
31.45, 53.0
34.11, 50.3
34.66, 47.3
37.47, 26.1
37.72, 39.8

Structure:
a = 9.5400 Å, b = 11.8884 Å, c = 9.7987 Å
α = 90.00°, β = 90.00°, γ = 90.00°
Space group Pmn2_1 (No. 31)
Unique sites:
Tl (0.0000, 0.1903, 0.1529) x2
Tl (0.0000, 0.2842, 0.4782) x2
Tl (0.1933, 0.7697, 0.5000) x4
Tl (0.2343, 0.0221, 0.6918) x4
Tl (0.2454, 0.5534, 0.7743) x4
Te (0.0000, 0.4597, 0.9916) x2
Te (0.0000, 0.5578, 0.5260) x2
Te (0.0000, 0.9914, 0.4279) x2
Te (0.0000, 0.9961, 0.9371) x2
Te (0.2256, 0.7075, 0.1841) x4
As (0.0000, 0.6831, 0.0260) x2